(1)
The following is a simulated powder diffraction line list of Pm4SbSe3. It was derived from a cell relaxed with GGA-PBE, using Cu Kα (weighted mean of Kα1 and Kα2).

Crystal structure
```
Pm4SbSe3
1.0
4.2797 0.0000 0.0000
0.0000 6.0465 0.0000
0.0000 0.0000 8.5593
Pm Sb Se
4 1 3
direct
0.0000 0.0000 0.0000
0.0000 0.0000 0.5000
0.5000 0.5000 0.2402
0.5000 0.5000 0.7598
0.0000 0.5000 0.5000
0.0000 0.5000 0.0000
0.5000 0.0000 0.2481
0.5000 0.0000 0.7519
```

Main lines, by angle (5 to 70 degrees two-theta):
two_theta  Rel. int.
23.2  1
25.5  11
27.6  1
29.5  100
42.2  75
50.0  5
52.4  26
61.3  12
67.5  2
69.5  34

***

(2)
The following is a simulated powder diffraction line list of Cs3Sr2I2Br5. It was derived from a cell relaxed with GGA-PBE, using Cu Kα (weighted mean of Kα1 and Kα2).

Crystal structure
```
Cs3Sr2I2Br5
1.0
-3.0041 3.0041 15.7447
3.0041 -3.0041 15.7447
3.0041 3.0041 -15.7447
Cs Sr I Br
3 2 2 5
direct
0.0000 0.0000 0.0000
0.1782 0.1782 0.0000
0.8218 0.8218 0.0000
0.4037 0.4037 0.0000
0.5963 0.5963 0.0000
0.3003 0.3003 0.0000
0.6997 0.6997 0.0000
0.0933 0.5933 0.5000
0.4067 0.9067 0.5000
0.5000 0.5000 0.0000
0.5933 0.0933 0.5000
0.9067 0.4067 0.5000
```

Main lines, by angle (5 to 70 degrees two-theta):
two_theta  Rel. int.
20.9  52
23.8  25
24.7  24
27.0  79
28.3  37
29.7  100
41.5  51
42.6  37
51.1  36
51.9  26